Entry 1:
Li3Ag2Cl7: theoretical PXRD pattern (Cu Ka), based on the PBE geometry in Alexandria.

a = 11.566 Å, b = 11.566 Å, c = 6.711 Å
α = 90.00°, β = 90.00°, γ = 36.41°
Sites, in units of the cell vectors:
Li (0.126, 0.491, 0.456)
Li (0.194, 0.806, 0.500)
Li (0.491, 0.126, 0.956)
Li (0.509, 0.874, 0.456)
Li (0.806, 0.194, 0.000)
Li (0.874, 0.509, 0.956)
Ag (0.137, 0.647, 0.008)
Ag (0.353, 0.863, 0.008)
Ag (0.647, 0.137, 0.508)
Ag (0.863, 0.353, 0.508)
Cl (0.038, 0.240, 0.200)
Cl (0.150, 0.850, 0.924)
Cl (0.153, 0.419, 0.085)
Cl (0.240, 0.038, 0.700)
Cl (0.298, 0.544, 0.334)
Cl (0.419, 0.153, 0.585)
Cl (0.456, 0.702, 0.334)
Cl (0.544, 0.298, 0.834)
Cl (0.581, 0.847, 0.085)
Cl (0.702, 0.456, 0.834)
Cl (0.760, 0.962, 0.200)
Cl (0.847, 0.581, 0.585)
Cl (0.850, 0.150, 0.424)
Cl (0.962, 0.760, 0.700)

Top 6 peaks for 10 to 80 degrees two-theta, in order of falling intensity:
2θ (°)	Rel. int.
18.49	100
16.13	54
41.28	40
44.99	27
42.51	26
27.21	25

Entry 2:
Ac2Zn3Ga4Au: theoretical PXRD pattern (Cu Ka), based on the PBE geometry in Alexandria.

a = 4.485 Å, b = 4.485 Å, c = 10.686 Å
α = 90.00°, β = 90.00°, γ = 90.00°
Sites, in units of the cell vectors:
Ac (0.000, 0.500, 0.250)
Ac (0.500, 0.000, 0.750)
Zn (0.000, 0.000, 0.000)
Zn (0.000, 0.500, 0.630)
Zn (0.500, 0.000, 0.370)
Ga (0.000, 0.000, 0.500)
Ga (0.000, 0.500, 0.869)
Ga (0.500, 0.000, 0.131)
Ga (0.500, 0.500, 0.500)
Au (0.500, 0.500, 0.000)

Top 6 peaks for 10 to 80 degrees two-theta, in order of falling intensity:
2θ (°)	Rel. int.
32.84	100
32.09	56
40.22	49
52.35	29
21.49	24
68.45	24

Entry 3:
GeP2PbO8: theoretical PXRD pattern (Cu Ka), based on the PBE geometry in Alexandria.

a = 8.266 Å, b = 8.266 Å, c = 8.266 Å
α = 33.41°, β = 33.41°, γ = 33.41°
Sites, in units of the cell vectors:
Ge (0.000, 0.000, 0.000)
P (0.260, 0.260, 0.260)
P (0.740, 0.740, 0.740)
Pb (0.500, 0.500, 0.500)
O (0.001, 0.227, 0.614)
O (0.194, 0.194, 0.194)
O (0.227, 0.614, 0.001)
O (0.386, 0.773, 0.999)
O (0.614, 0.001, 0.227)
O (0.773, 0.999, 0.386)
O (0.806, 0.806, 0.806)
O (0.999, 0.386, 0.773)

Top 6 peaks for 10 to 80 degrees two-theta, in order of falling intensity:
2θ (°)	Rel. int.
26.48	100
22.88	49
37.86	34
44.67	33
37.74	25
68.33	19

Entry 4:
Ta4B2Os5: theoretical PXRD pattern (Cu Ka), based on the PBE geometry in Alexandria.

a = 6.413 Å, b = 3.123 Å, c = 7.957 Å
α = 90.00°, β = 95.82°, γ = 90.00°
Sites, in units of the cell vectors:
Ta (0.182, 0.000, 0.346)
Ta (0.223, 0.000, 0.937)
Ta (0.777, 0.000, 0.063)
Ta (0.818, 0.000, 0.654)
B (0.063, 0.500, 0.117)
B (0.937, 0.500, 0.883)
Os (0.159, 0.500, 0.651)
Os (0.441, 0.500, 0.169)
Os (0.500, 0.500, 0.500)
Os (0.559, 0.500, 0.831)
Os (0.841, 0.500, 0.349)

Top 6 peaks for 10 to 80 degrees two-theta, in order of falling intensity:
2θ (°)	Rel. int.
40.23	100
38.50	89
38.21	82
42.88	80
40.42	73
42.51	61

Entry 5:
NaP2: theoretical PXRD pattern (Cu Ka), based on the PBE geometry in Alexandria.

a = 3.311 Å, b = 4.203 Å, c = 4.703 Å
α = 78.99°, β = 82.87°, γ = 89.57°
Sites, in units of the cell vectors:
Na (0.000, 0.000, 0.000)
P (0.274, 0.385, 0.407)
P (0.736, 0.613, 0.592)

Top 6 peaks for 10 to 80 degrees two-theta, in order of falling intensity:
2θ (°)	Rel. int.
31.85	100
36.46	61
34.63	52
19.38	44
35.57	41
26.16	40

Entry 6:
V4AgTe8: theoretical PXRD pattern (Cu Ka), based on the PBE geometry in Alexandria.

a = 7.864 Å, b = 7.864 Å, c = 7.864 Å
α = 60.00°, β = 60.00°, γ = 60.00°
Sites, in units of the cell vectors:
V (0.108, 0.108, 0.108)
V (0.108, 0.108, 0.676)
V (0.108, 0.676, 0.108)
V (0.676, 0.108, 0.108)
Ag (0.500, 0.500, 0.500)
Te (0.359, 0.359, 0.359)
Te (0.359, 0.359, 0.922)
Te (0.359, 0.922, 0.359)
Te (0.392, 0.869, 0.869)
Te (0.869, 0.392, 0.869)
Te (0.869, 0.869, 0.392)
Te (0.869, 0.869, 0.869)
Te (0.922, 0.359, 0.359)

Top 6 peaks for 10 to 80 degrees two-theta, in order of falling intensity:
2θ (°)	Rel. int.
27.79	100
32.19	88
46.17	86
54.75	41
39.70	22
26.58	18